For AlGaCoO4, a structure optimized by DFT (PBE+U) gives the calculated powder diffraction line list in this record (λ = 1.5418 Å (Cu Kα)).
Intensities are scaled so that the largest is 100.

Cell and atoms:
```
data_AlGaCoO4
_chemical_formula_sum 'Al4 Ga4 Co4 O16'
_cell_length_a 5.8235
_cell_length_b 5.8235
_cell_length_c 8.1175
_cell_angle_alpha 90.00
_cell_angle_beta 90.00
_cell_angle_gamma 90.00
_space_group_name_H-M_alt 'P 41 2 2'
_space_group_IT_number 91
_space_group_name_Hall 'P 4w 2c'
loop_
_atom_site_label
_atom_site_type_symbol
_atom_site_fract_x
_atom_site_fract_y
_atom_site_fract_z
_atom_site_occupancy
Al1 Al 0.0000 0.2517 0.0000 1
Ga1 Ga 0.2436 0.2436 0.3750 1
Co1 Co 0.2539 0.5000 0.7500 1
O1 O 0.0147 0.2317 0.7655 1
O2 O 0.2302 0.4834 0.0045 1
```

Top 10 peaks for 2θ = 15–90°, by intensity:
2theta  I (rel.)  index
36.2  100  2 1 1
36.6  51  1 0 3
30.9  47  1 1 2
64.5  43  2 2 4
58.2  29  3 2 1
30.7  23  2 0 0
63.9  22  4 0 0
54.7  17  3 1 2
59.1  14  1 0 5
76.0  11  4 1 3